Record 1
The following is a theoretical powder X-ray diffraction pattern of B2C3. It was derived from DFT lattice parameters and positions (PBE), using Cu Ka.

Peak list (5 most intense, 5 to 70 degrees two-theta, in order of rising 2θ)
| 2θ/deg | d/Å | I (rel.) |
| --- | --- | --- |
| 21.0 | 4.221 | 2.1 |
| 28.5 | 3.132 | 1.5 |
| 29.9 | 2.985 | 1.3 |
| 41.8 | 2.161 | 100.0 |
| 48.2 | 1.888 | 0.5 |

Cell and atoms:
```
10
Lattice="-2.9849 2.9849 1.8392 2.9849 -2.9849 1.8392 2.9849 2.9849 -1.8392" Properties=species:S:1:pos:R:3 pbc="T T T"
B 2.3798 1.1842 -0.0112
B 1.8007 -0.6051 1.8505
B 1.1842 3.5900 0.0112
B 0.6051 1.8007 1.8280
C 0.0000 0.0000 0.0000
C 3.5347 1.8466 -0.9538
C 2.9849 0.0000 0.9196
C -0.5498 1.1383 0.8854
C 1.8466 2.4351 0.9538
C 1.1383 0.5498 2.7930
```



Record 2
The following is a theoretical powder X-ray diffraction pattern of SrY2TiW. It was derived from DFT lattice parameters and positions (PBE), using Cu Ka.

Peak list (10 most intense, 5 to 70 degrees two-theta, in order of rising 2θ)
| 2θ/deg | d/Å | I (rel.) |
| --- | --- | --- |
| 15.8 | 5.626 | 26.9 |
| 22.3 | 3.978 | 10.7 |
| 29.3 | 3.044 | 100.0 |
| 31.8 | 2.813 | 62.0 |
| 38.1 | 2.364 | 18.9 |
| 45.6 | 1.989 | 22.5 |
| 50.4 | 1.810 | 33.3 |
| 55.2 | 1.665 | 34.0 |
| 60.9 | 1.522 | 18.7 |
| 63.5 | 1.465 | 11.1 |

Cell and atoms:
```
5
Lattice="5.6256 0.0000 0.0000 0.0000 5.6256 0.0000 0.0000 0.0000 4.7289" Properties=species:S:1:pos:R:3 pbc="T T T"
Sr 0.0000 0.0000 0.0000
Y 0.0000 2.8128 2.3645
Y 2.8128 0.0000 2.3645
Ti 2.8128 2.8128 2.3645
W 2.8128 2.8128 0.0000
```



Record 3
The following is a theoretical powder X-ray diffraction pattern of TlCdIr. It was derived from DFT lattice parameters and positions (PBE), using Cu Ka.

Peak list (10 most intense, 5 to 70 degrees two-theta, in order of rising 2θ)
| 2θ/deg | d/Å | I (rel.) |
| --- | --- | --- |
| 18.7 | 4.737 | 8.7 |
| 24.6 | 3.612 | 6.4 |
| 36.4 | 2.466 | 100.0 |
| 36.6 | 2.456 | 96.5 |
| 40.2 | 2.241 | 74.2 |
| 41.3 | 2.188 | 5.0 |
| 46.5 | 1.954 | 25.2 |
| 58.0 | 1.590 | 13.1 |
| 58.4 | 1.579 | 11.6 |
| 63.1 | 1.473 | 39.5 |

Cell and atoms:
```
3
Lattice="-1.5897 1.9538 4.7373 1.5897 -1.9538 4.7373 1.5897 1.9538 -4.7373" Properties=species:S:1:pos:R:3 pbc="T T T"
Tl 0.0000 0.0000 0.0000
Cd 0.0000 0.0000 2.9554
Ir 0.0000 0.0000 6.2750
```



Record 4
The following is a theoretical powder X-ray diffraction pattern of GaGeB. It was derived from DFT lattice parameters and positions (PBE), using Cu Ka.

Peak list (10 most intense, 5 to 70 degrees two-theta, in order of rising 2θ)
| 2θ/deg | d/Å | I (rel.) |
| --- | --- | --- |
| 31.9 | 2.803 | 100.0 |
| 32.1 | 2.792 | 89.5 |
| 33.5 | 2.675 | 65.3 |
| 35.8 | 2.508 | 87.0 |
| 36.6 | 2.454 | 31.4 |
| 43.1 | 2.097 | 37.8 |
| 46.8 | 1.942 | 32.6 |
| 49.7 | 1.835 | 27.0 |
| 50.6 | 1.805 | 27.1 |
| 53.1 | 1.726 | 32.1 |

Cell and atoms:
```
6
Lattice="3.0759 0.0000 0.0000 -0.5877 5.4098 0.0000 -0.6191 -1.8595 5.6061" Properties=species:S:1:pos:R:3 pbc="T T T"
Ga -0.2006 0.4111 1.1601
Ga 2.0697 3.1392 4.4460
Ge 0.4977 0.9951 4.3639
Ge 1.3714 2.5553 1.2421
B 0.4621 -0.6714 3.0461
B 1.4070 4.2218 2.5600
```



Record 5
The following is a theoretical powder X-ray diffraction pattern of Pu2CuB2Rh5. It was derived from DFT lattice parameters and positions (PBE), using Cu Ka.

Peak list (10 most intense, 5 to 70 degrees two-theta, in order of rising 2θ)
| 2θ/deg | d/Å | I (rel.) |
| --- | --- | --- |
| 21.0 | 4.236 | 31.6 |
| 33.6 | 2.669 | 19.0 |
| 34.9 | 2.569 | 100.0 |
| 38.7 | 2.325 | 28.9 |
| 39.2 | 2.297 | 83.0 |
| 40.4 | 2.232 | 25.9 |
| 41.1 | 2.196 | 73.6 |
| 42.7 | 2.118 | 20.5 |
| 44.4 | 2.038 | 22.5 |
| 70.0 | 1.345 | 19.3 |

Cell and atoms:
```
20
Lattice="9.4710 0.0000 0.0000 0.0000 9.4710 0.0000 0.0000 0.0000 3.2310" Properties=species:S:1:pos:R:3 pbc="T T T"
Pu 1.6790 3.0564 0.0000
Pu 3.0564 7.7919 0.0000
Pu 6.4145 1.6790 0.0000
Pu 7.7919 6.4145 0.0000
Cu 0.0000 0.0000 0.0000
Cu 4.7355 4.7355 0.0000
B 1.1655 5.9010 0.0000
B 3.5700 1.1655 0.0000
B 5.9010 8.3054 0.0000
B 8.3054 3.5700 0.0000
Rh 0.0000 4.7355 1.6155
Rh 0.6570 7.3940 1.6155
Rh 2.0769 0.6570 1.6155
Rh 2.6586 5.3925 1.6155
Rh 4.0784 2.6586 1.6155
Rh 4.7355 0.0000 1.6155
Rh 5.3925 6.8124 1.6155
Rh 6.8124 4.0784 1.6155
Rh 7.3940 8.8139 1.6155
Rh 8.8139 2.0769 1.6155
```